Computed X-ray diffraction stick pattern
Compound: PdSe8Cl2
Radiation: Cu Kα
Structure: a structure optimized by DFT (GGA-PBE)
Peak positions follow from Bragg's law for the DFT cell and can differ from measured ones.

Structural model:
```
PdSe8Cl2
1.0
9.2022 0.0000 0.0000
0.0000 14.3094 0.0000
0.0000 0.0000 10.1018
Pd Se Cl
4 32 8
Direct
0.0000 0.0000 0.0000
0.0000 0.5000 0.5000
0.5000 0.0000 0.5000
0.5000 0.5000 0.0000
0.0774 0.1218 0.3811
0.0774 0.3782 0.8811
0.0898 0.2198 0.1968
0.0898 0.2802 0.6968
0.1296 0.5259 0.1547
0.1296 0.9741 0.6547
0.1957 0.1142 0.0307
0.1957 0.3858 0.5307
0.3043 0.6142 0.0307
0.3043 0.8858 0.5307
0.3704 0.0259 0.1547
0.3704 0.4741 0.6547
0.4102 0.7198 0.1968
0.4102 0.7802 0.6968
0.4226 0.6218 0.3811
0.4226 0.8782 0.8811
0.5774 0.1218 0.1189
0.5774 0.3782 0.6189
0.5898 0.2198 0.3032
0.5898 0.2802 0.8032
0.6296 0.5259 0.3453
0.6296 0.9741 0.8453
0.6957 0.1142 0.4693
0.6957 0.3858 0.9693
0.8043 0.6142 0.4693
0.8043 0.8858 0.9693
0.8704 0.0259 0.3453
0.8704 0.4741 0.8453
0.9102 0.7198 0.3032
0.9102 0.7802 0.8032
0.9226 0.6218 0.1189
0.9226 0.8782 0.6189
0.0906 0.6040 0.6583
0.0906 0.8960 0.1583
0.4094 0.1040 0.6583
0.4094 0.3960 0.1583
0.5906 0.6040 0.8417
0.5906 0.8960 0.3417
0.9094 0.1040 0.8417
0.9094 0.3960 0.3417
```

Largest 8 diffraction maxima, low angle first, 10° ≤ 2θ ≤ 90°:
- 12.37°, rel. 58
- 15.17°, rel. 87
- 20.05°, rel. 49
- 20.27°, rel. 78
- 27.49°, rel. 93
- 28.36°, rel. 100
- 28.92°, rel. 70
- 32.33°, rel. 48